Record 1
Starting from a cell relaxed with GGA-PBE, the PXRD pattern of HAuSe was calculated for CuKα.
Peak positions follow from Bragg's law for the DFT cell and can differ from measured ones.

Largest 12 diffraction maxima, by intensity, 5 to 70 degrees two-theta:
d (Å), 2theta, I/Imax
5.842, 15.16, 100
3.098, 28.82, 65
3.119, 28.62, 54
2.198, 41.07, 50
1.841, 49.50, 47
2.282, 39.50, 45
2.751, 32.54, 34
3.683, 24.17, 27
1.576, 58.55, 15
1.506, 61.59, 14
3.654, 24.36, 14
1.652, 55.64, 14

Cell lengths 5.8424, 4.8039, 4.8039 Å; angles 99.04, 90.00, 90.00 degrees
Fractional positions:
H 0.1458 0.2500 0.7500
H 0.8542 0.7500 0.2500
Au 0.5000 0.2148 0.2148
Au 0.5000 0.7148 0.7148
Se 0.2179 0.4804 0.9804
Se 0.7821 0.9804 0.4804


Record 2
Starting from a cell relaxed with GGA-PBE, the PXRD pattern of H4AuSe was calculated for CuKα.
Peak positions follow from Bragg's law for the DFT cell and can differ from measured ones.

Largest 12 diffraction maxima, by intensity, 5 to 70 degrees two-theta:
d (Å), 2theta, I/Imax
3.585, 24.84, 100
4.790, 18.52, 78
3.894, 22.83, 60
5.117, 17.33, 59
3.756, 23.69, 54
7.511, 11.78, 53
3.664, 24.29, 44
2.212, 40.80, 40
2.095, 43.18, 37
2.386, 37.71, 32
3.415, 26.09, 28
1.556, 59.39, 27

Cell lengths 4.9308, 5.2141, 7.8693 Å; angles 100.74, 103.43, 90.18 degrees
Fractional positions:
H 0.0672 0.2270 0.2699
H 0.2798 0.7765 0.9860
H 0.3310 0.8714 0.1152
H 0.3415 0.8406 0.4339
H 0.6585 0.1594 0.5661
H 0.6690 0.1286 0.8848
H 0.7202 0.2235 0.0140
H 0.9328 0.7730 0.7301
Au 0.4933 0.9661 0.6717
Au 0.5067 0.0339 0.3283
Se 0.1982 0.6271 0.7609
Se 0.8018 0.3729 0.2391


Record 3
Starting from a cell relaxed with GGA-PBE, the PXRD pattern of HAuSe was calculated for CuKα.
Peak positions follow from Bragg's law for the DFT cell and can differ from measured ones.

Largest 12 diffraction maxima, by intensity, 5 to 70 degrees two-theta:
d (Å), 2theta, I/Imax
5.795, 15.29, 100
3.210, 27.79, 30
2.759, 32.46, 25
2.734, 32.76, 24
2.908, 30.75, 23
2.258, 39.93, 15
1.797, 50.80, 12
3.159, 28.25, 12
2.105, 42.96, 10
2.086, 43.39, 10
1.702, 53.88, 9
1.863, 48.88, 8

Cell lengths 3.7269, 6.3588, 6.5854 Å; angles 112.87, 105.86, 90.10 degrees
Fractional positions:
H 0.0000 0.0000 0.0000
H 0.1038 0.9953 0.1138
Au 0.0426 0.4970 0.5582
Au 0.5426 0.9972 0.5582
Se 0.4359 0.5822 0.3366
Se 0.6493 0.4122 0.7800


Record 4
Starting from a cell relaxed with GGA-PBE, the PXRD pattern of Sn2H2Au was calculated for CuKα.
Peak positions follow from Bragg's law for the DFT cell and can differ from measured ones.

Largest 12 diffraction maxima, by intensity, 5 to 70 degrees two-theta:
d (Å), 2theta, I/Imax
3.086, 28.93, 100
2.088, 43.34, 64
5.880, 15.07, 63
3.070, 29.09, 51
2.274, 39.64, 39
2.286, 39.41, 34
1.719, 53.28, 22
1.725, 53.09, 20
1.964, 46.21, 16
1.536, 60.26, 13
1.731, 52.90, 11
2.293, 39.28, 11

Cell lengths 4.1786, 4.1786, 5.8803 Å; angles 90.49, 90.49, 59.88 degrees
Fractional positions:
Sn 0.1645 0.1645 0.2610
Sn 0.8355 0.8355 0.7390
H 0.1653 0.1653 0.9531
H 0.8347 0.8347 0.0469
Au 0.5000 0.5000 0.5000


Record 5
Starting from a cell relaxed with GGA-PBE, the PXRD pattern of SrH8Au2 was calculated for CuKα.
Peak positions follow from Bragg's law for the DFT cell and can differ from measured ones.

Largest 12 diffraction maxima, by intensity, 5 to 70 degrees two-theta:
d (Å), 2theta, I/Imax
2.582, 34.74, 100
5.170, 17.15, 70
2.332, 38.60, 51
3.043, 29.35, 50
3.028, 29.50, 50
3.750, 23.73, 34
2.124, 42.56, 30
2.979, 30.00, 20
1.731, 52.88, 20
1.515, 61.19, 20
2.132, 42.40, 15
1.875, 48.56, 13

Cell lengths 3.7500, 5.1700, 5.9570 Å; angles 89.88, 89.96, 89.70 degrees
Fractional positions:
Sr 0.0000 0.0000 0.0000
H 0.0004 0.4992 0.7513
H 0.9996 0.5008 0.2487
H 0.0485 0.9354 0.5001
H 0.4990 0.8242 0.2501
H 0.5004 0.1770 0.2464
H 0.4996 0.8230 0.7536
H 0.5010 0.1758 0.7499
H 0.9515 0.0646 0.4999
Au 0.5003 0.4994 0.7530
Au 0.4997 0.5006 0.2470


Record 6
Starting from a cell relaxed with GGA-PBE, the PXRD pattern of Sr3HAu was calculated for CuKα.
Peak positions follow from Bragg's law for the DFT cell and can differ from measured ones.

Largest 12 diffraction maxima, by intensity, 5 to 70 degrees two-theta:
d (Å), 2theta, I/Imax
6.925, 12.78, 100
3.057, 29.22, 95
2.993, 29.85, 68
3.027, 29.51, 67
4.270, 20.80, 54
2.329, 38.66, 39
2.390, 37.64, 37
3.645, 24.42, 36
2.268, 39.75, 35
2.826, 31.66, 33
4.756, 18.66, 30
2.976, 30.02, 30

Cell lengths 9.4429, 9.4429, 7.8257 Å; angles 101.71, 101.71, 80.92 degrees
Fractional positions:
Sr 0.0055 0.2378 0.1410
Sr 0.1109 0.6342 0.3759
Sr 0.2378 0.0055 0.6410
Sr 0.3198 0.4081 0.9844
Sr 0.3658 0.8891 0.1241
Sr 0.4081 0.3198 0.4844
Sr 0.5919 0.6802 0.5156
Sr 0.6342 0.1109 0.8759
Sr 0.6802 0.5919 0.0156
Sr 0.7622 0.9945 0.3590
Sr 0.8891 0.3658 0.6241
Sr 0.9945 0.7622 0.8590
H 0.2110 0.3899 0.2439
H 0.3899 0.2110 0.7439
H 0.6101 0.7890 0.2561
H 0.7890 0.6101 0.7561
Au 0.0689 0.9311 0.2500
Au 0.3412 0.6588 0.7500
Au 0.6588 0.3412 0.2500
Au 0.9311 0.0689 0.7500


Record 7
Starting from a cell relaxed with GGA-PBE, the PXRD pattern of Te2H2Au3 was calculated for CuKα.
Peak positions follow from Bragg's law for the DFT cell and can differ from measured ones.

Largest 12 diffraction maxima, by intensity, 5 to 70 degrees two-theta:
d (Å), 2theta, I/Imax
3.147, 28.36, 100
2.990, 29.89, 80
2.907, 30.76, 73
2.168, 41.67, 65
2.135, 42.33, 62
1.715, 53.42, 34
1.761, 51.93, 30
2.046, 44.28, 29
6.751, 13.11, 27
2.125, 42.55, 26
1.393, 67.23, 18
1.384, 67.71, 16

Cell lengths 6.4402, 3.1472, 6.7513 Å; angles 90.00, 90.01, 90.00 degrees
Fractional positions:
Te 0.2198 0.0000 0.3441
Te 0.7802 0.0000 0.6559
H 0.2656 0.5000 0.8394
H 0.7344 0.5000 0.1606
Au 0.0000 0.0000 0.0000
Au 0.3806 0.0000 0.8002
Au 0.6194 0.0000 0.1998


Record 8
Starting from a cell relaxed with GGA-PBE, the PXRD pattern of Ti4HAu was calculated for CuKα.
Peak positions follow from Bragg's law for the DFT cell and can differ from measured ones.

Largest 12 diffraction maxima, by intensity, 5 to 70 degrees two-theta:
d (Å), 2theta, I/Imax
2.101, 43.05, 100
2.296, 39.23, 97
2.405, 37.39, 60
2.548, 35.23, 60
6.533, 13.55, 54
3.631, 24.52, 51
3.422, 26.04, 44
1.749, 52.31, 37
3.174, 28.12, 35
2.361, 38.12, 35
3.229, 27.63, 29
1.968, 46.13, 20

Cell lengths 7.4872, 7.4872, 4.8108 Å; angles 108.63, 108.63, 43.37 degrees
Fractional positions:
Ti 0.1446 0.6414 0.3907
Ti 0.2057 0.2057 0.1962
Ti 0.2471 0.7529 0.0000
Ti 0.3586 0.8554 0.6093
Ti 0.6414 0.1446 0.3907
Ti 0.7529 0.2471 0.0000
Ti 0.7943 0.7943 0.8038
Ti 0.8554 0.3586 0.6093
H 0.0815 0.0815 0.2939
H 0.9185 0.9185 0.7061
Au 0.3114 0.3114 0.8085
Au 0.6886 0.6886 0.1915


Record 9
Starting from a cell relaxed with GGA-PBE, the PXRD pattern of Tl2H3Au was calculated for CuKα.
Peak positions follow from Bragg's law for the DFT cell and can differ from measured ones.

Largest 12 diffraction maxima, by intensity, 5 to 70 degrees two-theta:
d (Å), 2theta, I/Imax
3.317, 26.88, 100
2.746, 32.60, 74
2.846, 31.43, 54
3.920, 22.69, 31
2.998, 29.81, 26
2.308, 39.02, 25
6.302, 14.05, 21
2.315, 38.90, 20
2.285, 39.44, 19
2.497, 35.97, 18
1.540, 60.06, 17
1.621, 56.81, 15

Cell lengths 6.8627, 6.8627, 6.5244 Å; angles 92.25, 92.25, 46.39 degrees
Fractional positions:
Tl 0.0304 0.2430 0.0892
Tl 0.2430 0.0304 0.5892
Tl 0.7570 0.9696 0.4108
Tl 0.9696 0.7570 0.9108
H 0.1321 0.8679 0.2500
H 0.3692 0.3701 0.6936
H 0.3701 0.3692 0.1936
H 0.6299 0.6308 0.8064
H 0.6308 0.6299 0.3064
H 0.8679 0.1321 0.7500
Au 0.4690 0.5310 0.2500
Au 0.5310 0.4690 0.7500


Record 10
Starting from a cell relaxed with GGA-PBE, the PXRD pattern of TlH3Au was calculated for CuKα.
Peak positions follow from Bragg's law for the DFT cell and can differ from measured ones.

Largest 12 diffraction maxima, by intensity, 5 to 70 degrees two-theta:
d (Å), 2theta, I/Imax
3.217, 27.73, 100
3.445, 25.86, 59
2.971, 30.07, 42
2.250, 40.07, 38
2.194, 41.14, 36
2.172, 41.58, 35
1.942, 46.77, 25
1.630, 56.44, 14
1.621, 56.79, 14
1.609, 57.27, 14
1.490, 62.31, 11
1.819, 50.14, 10

Cell lengths 3.6388, 6.8900, 5.9432 Å; angles 90.00, 90.66, 90.00 degrees
Fractional positions:
Tl 0.2480 0.2500 0.2502
Tl 0.7520 0.7500 0.7498
H 0.2487 0.7500 0.2497
H 0.2515 0.0081 0.7503
H 0.2515 0.4919 0.7503
H 0.7485 0.5081 0.2497
H 0.7485 0.9919 0.2497
H 0.7513 0.2500 0.7503
Au 0.2513 0.2500 0.7502
Au 0.7487 0.7500 0.2498


Record 11
Starting from a cell relaxed with GGA-PBE, the PXRD pattern of Zr2H3Au was calculated for CuKα.
Peak positions follow from Bragg's law for the DFT cell and can differ from measured ones.

Largest 12 diffraction maxima, by intensity, 5 to 70 degrees two-theta:
d (Å), 2theta, I/Imax
2.578, 34.80, 100
2.394, 37.57, 90
7.699, 11.49, 79
2.670, 33.57, 60
2.654, 33.77, 47
1.649, 55.75, 21
2.104, 42.98, 19
2.468, 36.41, 19
1.445, 64.49, 19
1.567, 58.93, 17
1.740, 52.59, 16
2.066, 43.82, 16

Cell lengths 5.8413, 5.8413, 8.2634 Å; angles 110.38, 110.38, 32.80 degrees
Fractional positions:
Zr 0.0126 0.0126 0.2029
Zr 0.3379 0.3379 0.3999
Zr 0.6621 0.6621 0.6001
Zr 0.9874 0.9874 0.7971
H 0.1393 0.1393 0.7221
H 0.1667 0.1667 0.4448
H 0.4909 0.4909 0.6462
H 0.5091 0.5091 0.3538
H 0.8333 0.8333 0.5552
H 0.8607 0.8607 0.2779
Au 0.3279 0.3279 0.9304
Au 0.6721 0.6721 0.0696


Record 12
Starting from a cell relaxed with GGA-PBE, the PXRD pattern of Hf4Au was calculated for CuKα.
Peak positions follow from Bragg's law for the DFT cell and can differ from measured ones.

Largest 12 diffraction maxima, by intensity, 5 to 70 degrees two-theta:
d (Å), 2theta, I/Imax
2.547, 35.23, 100
1.801, 50.68, 72
2.941, 30.39, 62
1.536, 60.25, 27
5.094, 17.41, 27
1.471, 63.23, 25
3.602, 24.71, 24
2.278, 39.56, 14
2.080, 43.51, 11
1.698, 54.00, 7
1.362, 68.97, 6
1.611, 57.18, 5

Cell lengths 5.0945, 5.0945, 5.0945 Å; angles 90.00, 90.00, 90.00 degrees
Fractional positions:
Hf 0.0000 0.0000 0.0000
Hf 0.0000 0.5000 0.5000
Hf 0.5000 0.0000 0.5000
Hf 0.5000 0.5000 0.0000
Au 0.5000 0.5000 0.5000